(1)
Theoretical powder XRD pattern of KSmO2 for Cu Kα X-rays, from a DFT-relaxed cell (GGA-PBE, the Materials Project).
Intensities are scaled so that the largest is 100.

Main lines, sorted by position (5° ≤ 2θ ≤ 70°):
(0 0 3), 6.303 Å, 14.1 deg, I = 88
(0 0 6), 3.151 Å, 28.3 deg, I = 32
(1 0 1), 3.059 Å, 29.2 deg, I = 35
(0 1 2), 2.946 Å, 30.3 deg, I = 73
(1 0 4), 2.592 Å, 34.6 deg, I = 100
(1 0 7), 2.037 Å, 44.5 deg, I = 19
(0 1 8), 1.880 Å, 48.4 deg, I = 33
(1 1 0), 1.790 Å, 51.0 deg, I = 32
(1 1 3), 1.722 Å, 53.2 deg, I = 18
(1 1 6), 1.556 Å, 59.4 deg, I = 24

Cell and atoms:
```
data_KSmO2
_space_group_name_H-M_alt 'R -3 m'
_space_group_IT_number 166
_space_group_name_Hall '-R 3 2"'
_cell_length_a 3.5797
_cell_length_b 3.5797
_cell_length_c 18.9081
_cell_angle_alpha 90.00
_cell_angle_beta 90.00
_cell_angle_gamma 120.00
loop_
_atom_site_label
_atom_site_type_symbol
_atom_site_fract_x
_atom_site_fract_y
_atom_site_fract_z
_atom_site_occupancy
K1 K 0.0000 0.0000 0.0000 1
Sm1 Sm 0.0000 0.0000 0.5000 1
O1 O 0.0000 0.0000 0.2299 1
```

=====

(2)
Theoretical powder XRD pattern of KSmTiSnO6 for Cu Kα X-rays, from a DFT-relaxed cell (GGA-PBE, the Materials Project).
Intensities are scaled so that the largest is 100.

Main lines, sorted by position (5° ≤ 2θ ≤ 70°):
(1 1 1), 4.615 Å, 19.2 deg, I = 34
(2 2 0), 2.826 Å, 31.7 deg, I = 100
(3 1 1), 2.410 Å, 37.3 deg, I = 22
(2 2 2), 2.307 Å, 39.0 deg, I = 5
(4 0 0), 1.998 Å, 45.4 deg, I = 35
(3 3 1), 1.834 Å, 49.7 deg, I = 10
(4 2 2), 1.632 Å, 56.4 deg, I = 39
(3 3 3), 1.538 Å, 60.2 deg, I = 8
(4 4 0), 1.413 Å, 66.1 deg, I = 21
(5 3 1), 1.351 Å, 69.6 deg, I = 8

Cell and atoms:
```
data_KSmTiSnO6
_space_group_name_H-M_alt 'F -4 3 m'
_space_group_IT_number 216
_space_group_name_Hall 'F -4 2 3'
_cell_length_a 7.993
_cell_length_b 7.993
_cell_length_c 7.993
_cell_angle_alpha 90.00
_cell_angle_beta 90.00
_cell_angle_gamma 90.00
loop_
_atom_site_label
_atom_site_type_symbol
_atom_site_fract_x
_atom_site_fract_y
_atom_site_fract_z
_atom_site_occupancy
K1 K 0.000 0.000 0.000 1
Sm1 Sm 0.000 0.000 0.500 1
Ti1 Ti 0.250 0.250 0.750 1
Sn1 Sn 0.250 0.250 0.250 1
O1 O 0.006 0.250 0.750 1
```

=====

(3)
Theoretical powder XRD pattern of KSmTi4O12 for Cu Kα X-rays, from a DFT-relaxed cell (GGA-PBE, the Materials Project).
Intensities are scaled so that the largest is 100.

Main lines, sorted by position (5° ≤ 2θ ≤ 70°):
(1 0 0), 7.824 Å, 11.3 deg, I = 30
(0 1 1), 5.486 Å, 16.2 deg, I = 28
(1 1 1), 4.492 Å, 19.8 deg, I = 100
(1 0 2), 3.475 Å, 25.6 deg, I = 20
(2 2 0), 2.755 Å, 32.5 deg, I = 75
(0 2 2), 2.743 Å, 32.6 deg, I = 37
(1 3 1), 2.341 Å, 38.5 deg, I = 34
(0 4 0), 1.940 Å, 46.8 deg, I = 41
(2 4 2), 1.586 Å, 58.2 deg, I = 28
(4 4 0), 1.377 Å, 68.1 deg, I = 21

Cell and atoms:
```
data_KSmTi4O12
_space_group_name_H-M_alt 'A m m 2'
_space_group_IT_number 38
_space_group_name_Hall 'A 2 -2'
_cell_length_a 7.824
_cell_length_b 7.756
_cell_length_c 7.760
_cell_angle_alpha 90.00
_cell_angle_beta 90.00
_cell_angle_gamma 90.00
loop_
_atom_site_label
_atom_site_type_symbol
_atom_site_fract_x
_atom_site_fract_y
_atom_site_fract_z
_atom_site_occupancy
K1 K 0.000 0.000 0.000 1
Sm1 Sm 0.500 0.000 0.479 1
Ti1 Ti 0.242 0.246 0.742 1
O1 O 0.000 0.242 0.745 1
O2 O 0.259 0.000 0.254 1
O3 O 0.271 0.243 0.494 1
O4 O 0.282 0.000 0.732 1
O5 O 0.500 0.230 0.251 1
```

=====

(4)
Theoretical powder XRD pattern of KSmTiO4 for Cu Kα X-rays, from a DFT-relaxed cell (GGA-PBE, the Materials Project).
Intensities are scaled so that the largest is 100.

Main lines, sorted by position (5° ≤ 2θ ≤ 70°):
(1 0 0), 13.238 Å, 6.7 deg, I = 100
(2 1 1), 3.336 Å, 26.7 deg, I = 27
(3 1 1), 2.906 Å, 30.8 deg, I = 60
(0 2 0), 2.753 Å, 32.5 deg, I = 17
(0 0 2), 2.711 Å, 33.0 deg, I = 18
(6 0 0), 2.206 Å, 40.9 deg, I = 9
(0 2 2), 1.931 Å, 47.0 deg, I = 19
(3 3 1), 1.617 Å, 56.9 deg, I = 10
(3 1 3), 1.600 Å, 57.6 deg, I = 10
(6 2 2), 1.453 Å, 64.1 deg, I = 8

Cell and atoms:
```
data_KSmTiO4
_space_group_name_H-M_alt 'P b c m'
_space_group_IT_number 57
_space_group_name_Hall '-P 2c 2b'
_cell_length_a 13.238
_cell_length_b 5.505
_cell_length_c 5.422
_cell_angle_alpha 90.00
_cell_angle_beta 90.00
_cell_angle_gamma 90.00
loop_
_atom_site_label
_atom_site_type_symbol
_atom_site_fract_x
_atom_site_fract_y
_atom_site_fract_z
_atom_site_occupancy
K1 K 0.093 0.016 0.250 1
Sm1 Sm 0.397 0.022 0.250 1
Ti1 Ti 0.248 0.506 0.250 1
O1 O 0.116 0.528 0.250 1
O2 O 0.269 0.250 0.000 1
O3 O 0.290 0.750 0.000 1
O4 O 0.436 0.061 0.750 1
```

=====

(5)
Theoretical powder XRD pattern of K2Sn3O7 for Cu Kα X-rays, from a DFT-relaxed cell (GGA-PBE, the Materials Project).
Intensities are scaled so that the largest is 100.

Main lines, sorted by position (5° ≤ 2θ ≤ 70°):
(1 0 1), 10.322 Å, 8.6 deg, I = 48
(0 0 2), 6.471 Å, 13.7 deg, I = 60
(1 0 2), 6.053 Å, 14.6 deg, I = 93
(2 0 2), 5.161 Å, 17.2 deg, I = 51
(5 0 1), 3.309 Å, 26.9 deg, I = 62
(1 0 4), 3.179 Å, 28.1 deg, I = 48
(2 1 1), 2.919 Å, 30.6 deg, I = 45
(6 0 1), 2.785 Å, 32.1 deg, I = 64
(3 1 2), 2.562 Å, 35.0 deg, I = 100
(7 0 5), 1.778 Å, 51.4 deg, I = 66

Cell and atoms:
```
data_K2Sn3O7
_space_group_name_H-M_alt 'P n m a'
_space_group_IT_number 62
_space_group_name_Hall '-P 2ac 2n'
_cell_length_a 17.113
_cell_length_b 3.198
_cell_length_c 12.942
_cell_angle_alpha 90.00
_cell_angle_beta 90.00
_cell_angle_gamma 90.00
loop_
_atom_site_label
_atom_site_type_symbol
_atom_site_fract_x
_atom_site_fract_y
_atom_site_fract_z
_atom_site_occupancy
K1 K 0.066 0.250 0.106 1
K2 K 0.194 0.250 0.558 1
Sn1 Sn 0.019 0.750 0.388 1
Sn2 Sn 0.124 0.250 0.833 1
Sn3 Sn 0.208 0.250 0.290 1
O1 O 0.019 0.250 0.758 1
O2 O 0.051 0.750 0.553 1
O3 O 0.095 0.750 0.928 1
O4 O 0.100 0.250 0.369 1
O5 O 0.174 0.750 0.739 1
O6 O 0.178 0.750 0.196 1
O7 O 0.249 0.250 0.888 1
```

=====

(6)
Theoretical powder XRD pattern of K2SnO6 for Cu Kα X-rays, from a DFT-relaxed cell (GGA-PBE, the Materials Project).
Intensities are scaled so that the largest is 100.

Main lines, sorted by position (5° ≤ 2θ ≤ 70°):
(1 0 1), 5.468 Å, 16.2 deg, I = 95
(0 1 2), 4.252 Å, 20.9 deg, I = 29
(0 0 3), 3.904 Å, 22.8 deg, I = 56
(1 1 0), 3.570 Å, 24.9 deg, I = 73
(1 0 4), 2.646 Å, 33.9 deg, I = 14
(2 -1 3), 2.634 Å, 34.0 deg, I = 100
(3 0 0), 2.061 Å, 43.9 deg, I = 35
(0 3 3), 1.823 Å, 50.0 deg, I = 33
(2 -1 6), 1.713 Å, 53.5 deg, I = 30
(2 2 3), 1.623 Å, 56.7 deg, I = 20

Cell and atoms:
```
data_K2SnO6
_space_group_name_H-M_alt 'R -3'
_space_group_IT_number 148
_space_group_name_Hall '-R 3'
_cell_length_a 7.1399
_cell_length_b 7.1399
_cell_length_c 11.7112
_cell_angle_alpha 90.00
_cell_angle_beta 90.00
_cell_angle_gamma 120.00
loop_
_atom_site_label
_atom_site_type_symbol
_atom_site_fract_x
_atom_site_fract_y
_atom_site_fract_z
_atom_site_occupancy
K1 K 0.0000 0.0000 0.1858 1
Sn1 Sn 0.0000 0.0000 0.5000 1
O1 O 0.0185 0.2706 0.5727 1
```

=====

(7)
Theoretical powder XRD pattern of K2Sn2O3 for Cu Kα X-rays, from a DFT-relaxed cell (GGA-PBE, the Materials Project).
Intensities are scaled so that the largest is 100.

Main lines, sorted by position (5° ≤ 2θ ≤ 70°):
(0 1 2), 4.282 Å, 20.7 deg, I = 72
(1 1 0), 3.070 Å, 29.1 deg, I = 100
(1 0 4), 2.987 Å, 29.9 deg, I = 89
(0 2 4), 2.141 Å, 42.2 deg, I = 51
(1 2 2), 1.936 Å, 46.9 deg, I = 19
(1 1 6), 1.894 Å, 48.0 deg, I = 15
(3 0 0), 1.773 Å, 51.6 deg, I = 20
(2 1 4), 1.756 Å, 52.1 deg, I = 38
(2 2 0), 1.535 Å, 60.3 deg, I = 18
(1 3 4), 1.365 Å, 68.8 deg, I = 17

Cell and atoms:
```
data_K2Sn2O3
_space_group_name_H-M_alt 'R -3 m'
_space_group_IT_number 166
_space_group_name_Hall '-R 3 2"'
_cell_length_a 6.1404
_cell_length_b 6.1404
_cell_length_c 14.4420
_cell_angle_alpha 90.00
_cell_angle_beta 90.00
_cell_angle_gamma 120.00
loop_
_atom_site_label
_atom_site_type_symbol
_atom_site_fract_x
_atom_site_fract_y
_atom_site_fract_z
_atom_site_occupancy
K1 K 0.0000 0.0000 0.0000 1
K2 K 0.0000 0.0000 0.5000 1
Sn1 Sn 0.0000 0.0000 0.2409 1
O1 O 0.0000 0.5000 0.5000 1
```

=====

(8)
Theoretical powder XRD pattern of K2Sn2O3 for Cu Kα X-rays, from a DFT-relaxed cell (GGA-PBE, the Materials Project).
Intensities are scaled so that the largest is 100.

Main lines, sorted by position (5° ≤ 2θ ≤ 70°):
(1 1 0), 6.020 Å, 14.7 deg, I = 5
(2 0 0), 4.257 Å, 20.9 deg, I = 38
(2 2 0), 3.010 Å, 29.7 deg, I = 100
(2 2 2), 2.458 Å, 36.6 deg, I = 5
(4 0 0), 2.129 Å, 42.5 deg, I = 27
(4 2 0), 1.904 Å, 47.8 deg, I = 19
(4 2 2), 1.738 Å, 52.7 deg, I = 40
(4 4 0), 1.505 Å, 61.6 deg, I = 16
(4 4 2), 1.419 Å, 65.8 deg, I = 10
(6 2 0), 1.346 Å, 69.9 deg, I = 17

Cell and atoms:
```
data_K2Sn2O3
_space_group_name_H-M_alt 'I 21 3'
_space_group_IT_number 199
_space_group_name_Hall 'I 2b 2c 3'
_cell_length_a 8.514
_cell_length_b 8.514
_cell_length_c 8.514
_cell_angle_alpha 90.00
_cell_angle_beta 90.00
_cell_angle_gamma 90.00
loop_
_atom_site_label
_atom_site_type_symbol
_atom_site_fract_x
_atom_site_fract_y
_atom_site_fract_z
_atom_site_occupancy
K1 K 0.009 0.009 0.009 1
Sn1 Sn 0.244 0.244 0.244 1
O1 O 0.000 0.250 0.271 1
```

=====

(9)
Theoretical powder XRD pattern of K2SnO3 for Cu Kα X-rays, from a DFT-relaxed cell (GGA-PBE, the Materials Project).
Intensities are scaled so that the largest is 100.

Main lines, sorted by position (5° ≤ 2θ ≤ 70°):
(0 1 1), 5.909 Å, 15.0 deg, I = 100
(0 2 0), 5.272 Å, 16.8 deg, I = 52
(0 3 1), 3.153 Å, 28.3 deg, I = 44
(1 0 2), 3.045 Å, 29.3 deg, I = 88
(2 0 0), 2.921 Å, 30.6 deg, I = 36
(1 3 1), 2.775 Å, 32.3 deg, I = 81
(1 1 3), 2.156 Å, 41.9 deg, I = 23
(2 3 1), 2.143 Å, 42.2 deg, I = 60
(1 3 3), 1.867 Å, 48.8 deg, I = 39
(1 6 2), 1.522 Å, 60.8 deg, I = 40

Cell and atoms:
```
data_K2SnO3
_space_group_name_H-M_alt 'P n m a'
_space_group_IT_number 62
_space_group_name_Hall '-P 2ac 2n'
_cell_length_a 5.843
_cell_length_b 10.545
_cell_length_c 7.135
_cell_angle_alpha 90.00
_cell_angle_beta 90.00
_cell_angle_gamma 90.00
loop_
_atom_site_label
_atom_site_type_symbol
_atom_site_fract_x
_atom_site_fract_y
_atom_site_fract_z
_atom_site_occupancy
K1 K 0.236 0.088 0.115 1
Sn1 Sn 0.227 0.750 0.160 1
O1 O 0.011 0.121 0.724 1
O2 O 0.153 0.750 0.892 1
```

=====

(10)
Theoretical powder XRD pattern of K2SnO6 for Cu Kα X-rays, from a DFT-relaxed cell (GGA-PBE, the Materials Project).
Intensities are scaled so that the largest is 100.

Main lines, sorted by position (5° ≤ 2θ ≤ 70°):
(0 0 1), 10.034 Å, 8.8 deg, I = 100
(0 0 2), 5.017 Å, 17.7 deg, I = 10
(0 1 -1), 4.894 Å, 18.1 deg, I = 12
(0 1 1), 4.158 Å, 21.4 deg, I = 27
(0 1 -2), 3.968 Å, 22.4 deg, I = 13
(0 1 -3), 3.084 Å, 28.9 deg, I = 9
(1 0 -2), 2.836 Å, 31.5 deg, I = 15
(1 0 2), 2.584 Å, 34.7 deg, I = 14
(0 2 -1), 2.554 Å, 35.1 deg, I = 9
(0 2 0), 2.506 Å, 35.8 deg, I = 16

Cell and atoms:
```
data_K2SnO6
_space_group_name_H-M_alt 'P -1'
_space_group_IT_number 2
_space_group_name_Hall '-P 1'
_cell_length_a 3.222
_cell_length_b 5.114
_cell_length_c 10.297
_cell_angle_alpha 101.59
_cell_angle_beta 95.72
_cell_angle_gamma 90.15
loop_
_atom_site_label
_atom_site_type_symbol
_atom_site_fract_x
_atom_site_fract_y
_atom_site_fract_z
_atom_site_occupancy
K1 K 0.081 0.109 0.261 1
Sn1 Sn 0.500 0.500 0.000 1
O1 O 0.047 0.515 0.135 1
O2 O 0.383 0.064 0.543 1
O3 O 0.485 0.061 0.945 1
```